[1]
Simulated X-ray powder pattern
Compound: MgCd5Ag5
Radiation: Cu Kα, 1.54184 Å
Structure: a GGA-PBE-relaxed structure
Lines closer than 0.1° are merged.

Most intense lines, 2θ = 15–90°, sorted by position:
(1 0 3), 2θ = 33.2°, intensity 77; (1 1 0), 2θ = 33.4°, intensity 100; (0 0 4), 2θ = 36.1°, intensity 29; (1 1 2), 2θ = 38.1°, intensity 75; (2 0 1), 2θ = 39.8°, intensity 59; (1 0 4), 2θ = 41.1°, intensity 46; (2 0 2), 2θ = 43.0°, intensity 33; (1 1 3), 2θ = 43.4°, intensity 31

Structural model:
```
data_MgCd5Ag5
_cell_length_a 5.365
_cell_length_b 5.365
_cell_length_c 9.962
_cell_angle_alpha 90.00
_cell_angle_beta 90.00
_cell_angle_gamma 120.00
_space_group_name_H-M_alt 'P 1'
_space_group_IT_number 1
_space_group_name_Hall 'P 1'
loop_
_atom_site_label
_atom_site_type_symbol
_atom_site_fract_x
_atom_site_fract_y
_atom_site_fract_z
Mg1 Mg 0.000 0.000 0.000
Cd1 Cd 0.000 0.000 0.331
Cd2 Cd 0.000 0.000 0.669
Cd3 Cd 0.333 0.667 0.218
Cd4 Cd 0.333 0.667 0.782
Cd5 Cd 0.667 0.333 0.000
Ag1 Ag 0.003 0.501 0.500
Ag2 Ag 0.499 0.501 0.500
Ag3 Ag 0.499 0.997 0.500
Ag4 Ag 0.667 0.333 0.263
Ag5 Ag 0.667 0.333 0.737
```

***

[2]
Simulated X-ray powder pattern
Compound: Mg4Cd3Ag4
Radiation: Cu Kα, 1.54184 Å
Structure: a GGA-PBE-relaxed structure
Lines closer than 0.1° are merged.

Most intense lines, 2θ = 15–90°, sorted by position:
(0 0 4), 2θ = 20.1°, intensity 22; (0 1 2), 2θ = 26.0°, intensity 26; (1 0 -1), 2θ = 27.5°, intensity 22; (1 1 1), 2θ = 36.6°, intensity 100; (0 1 6), 2θ = 37.6°, intensity 90; (1 0 -5), 2θ = 38.6°, intensity 42; (1 0 6), 2θ = 38.7°, intensity 41; (0 2 1), 2θ = 51.0°, intensity 19

Structural model:
```
data_Mg4Cd3Ag4
_cell_length_a 3.375
_cell_length_b 3.584
_cell_length_c 17.870
_cell_angle_alpha 84.31
_cell_angle_beta 84.74
_cell_angle_gamma 89.98
_space_group_name_H-M_alt 'P 1'
_space_group_IT_number 1
_space_group_name_Hall 'P 1'
loop_
_atom_site_label
_atom_site_type_symbol
_atom_site_fract_x
_atom_site_fract_y
_atom_site_fract_z
Mg1 Mg 0.051 0.051 0.400
Mg2 Mg 0.311 0.310 0.877
Mg3 Mg 0.689 0.690 0.123
Mg4 Mg 0.949 0.949 0.600
Cd1 Cd 0.139 0.140 0.223
Cd2 Cd 0.500 0.500 0.500
Cd3 Cd 0.861 0.860 0.777
Ag1 Ag 0.228 0.228 0.044
Ag2 Ag 0.407 0.407 0.685
Ag3 Ag 0.593 0.593 0.315
Ag4 Ag 0.772 0.772 0.956
```

***

[3]
Simulated X-ray powder pattern
Compound: Mg4Cd4Ag3
Radiation: Cu Kα, 1.54184 Å
Structure: a GGA-PBE-relaxed structure
Lines closer than 0.1° are merged.

Most intense lines, 2θ = 15–90°, sorted by position:
(0 1 -1), 2θ = 20.8°, intensity 54; (1 0 1), 2θ = 29.3°, intensity 22; (1 0 -1), 2θ = 29.5°, intensity 25; (1 1 1), 2θ = 34.8°, intensity 20; (1 1 2), 2θ = 35.7°, intensity 20; (0 1 6), 2θ = 37.2°, intensity 100; (0 2 1), 2θ = 38.4°, intensity 49; (1 1 5), 2θ = 43.5°, intensity 23

Structural model:
```
data_Mg4Cd4Ag3
_cell_length_a 3.101
_cell_length_b 4.684
_cell_length_c 15.681
_cell_angle_alpha 81.49
_cell_angle_beta 89.05
_cell_angle_gamma 89.81
_space_group_name_H-M_alt 'P 1'
_space_group_IT_number 1
_space_group_name_Hall 'P 1'
loop_
_atom_site_label
_atom_site_type_symbol
_atom_site_fract_x
_atom_site_fract_y
_atom_site_fract_z
Mg1 Mg 0.000 0.000 0.000
Mg2 Mg 0.004 0.631 0.738
Mg3 Mg 0.512 0.723 0.547
Mg4 Mg 0.526 0.338 0.312
Cd1 Cd 0.007 0.894 0.200
Cd2 Cd 0.017 0.253 0.486
Cd3 Cd 0.500 0.087 0.829
Cd4 Cd 0.514 0.442 0.110
Ag1 Ag 0.023 0.804 0.381
Ag2 Ag 0.505 0.172 0.651
Ag3 Ag 0.509 0.537 0.927
```

***

[4]
Simulated X-ray powder pattern
Compound: MgCd6Ag8
Radiation: Cu Kα, 1.54184 Å
Structure: a GGA-PBE-relaxed structure
Lines closer than 0.1° are merged.

Most intense lines, 2θ = 15–90°, sorted by position:
(2 0 0), 2θ = 23.8°, intensity 22; (3 0 0), 2θ = 36.1°, intensity 17; (2 1 1), 2θ = 36.8°, intensity 56; (0 0 2), 2θ = 37.1°, intensity 39; (3 0 1), 2θ = 40.7°, intensity 100; (3 3 0), 2θ = 64.8°, intensity 19; (3 0 3), 2θ = 69.4°, intensity 19; (3 3 2), 2θ = 77.2°, intensity 23

Structural model:
```
data_MgCd6Ag8
_cell_length_a 8.627
_cell_length_b 8.627
_cell_length_c 4.842
_cell_angle_alpha 90.00
_cell_angle_beta 90.00
_cell_angle_gamma 120.00
_space_group_name_H-M_alt 'P 1'
_space_group_IT_number 1
_space_group_name_Hall 'P 1'
loop_
_atom_site_label
_atom_site_type_symbol
_atom_site_fract_x
_atom_site_fract_y
_atom_site_fract_z
Mg1 Mg 0.000 0.000 0.000
Cd1 Cd 0.213 0.425 0.000
Cd2 Cd 0.213 0.787 0.000
Cd3 Cd 0.425 0.213 0.000
Cd4 Cd 0.575 0.787 0.000
Cd5 Cd 0.787 0.213 0.000
Cd6 Cd 0.787 0.575 0.000
Ag1 Ag 0.000 0.326 0.500
Ag2 Ag 0.000 0.674 0.500
Ag3 Ag 0.326 0.000 0.500
Ag4 Ag 0.326 0.326 0.500
Ag5 Ag 0.333 0.667 0.500
Ag6 Ag 0.667 0.333 0.500
Ag7 Ag 0.674 0.000 0.500
Ag8 Ag 0.674 0.674 0.500
```